Theoretical PXRD pattern
Compound: Tb4PmPr2Er
Radiation: Cu Kα, 1.54184 Å
Structure: the GGA-PBE geometry in Alexandria
Lines closer than 0.1° are merged.

Cell and atoms:
```
Tb4PmPr2Er
1.0
5.093 0.000 0.000
0.000 5.112 0.000
-0.008 0.000 10.163
Tb Pm Pr Er
4 1 2 1
direct
0.000 0.000 0.248
0.000 0.000 0.752
0.500 0.500 0.248
0.500 0.500 0.752
0.000 0.500 0.500
0.000 0.500 0.000
0.500 0.000 0.500
0.500 0.000 0.000
```

Most intense lines, 10° ≤ 2θ ≤ 90°, in order of rising 2θ:
2θ 30.38, I = 100; 2θ 35.11, I = 17; 2θ 35.28, I = 34; 2θ 50.63, I = 24; 2θ 50.76, I = 12; 2θ 60.08, I = 14; 2θ 60.26, I = 14; 2θ 60.37, I = 14; 2θ 63.22, I = 12; 2θ 82.44, I = 9

---

Theoretical PXRD pattern
Compound: Li3CdPd2
Radiation: Cu Kα, 1.54184 Å
Structure: the GGA-PBE geometry in Alexandria
Lines closer than 0.1° are merged.

Cell and atoms:
```
Li3CdPd2
1.0
3.508 -3.793 0.000
3.508 3.793 0.000
-1.684 0.000 6.879
Li Cd Pd
6 2 4
direct
0.073 0.927 0.750
0.146 0.327 0.997
0.327 0.146 0.497
0.673 0.854 0.503
0.854 0.673 0.003
0.927 0.073 0.250
0.417 0.583 0.750
0.583 0.417 0.250
0.124 0.625 0.374
0.375 0.876 0.126
0.625 0.124 0.874
0.876 0.375 0.626
```

Most intense lines, 10° ≤ 2θ ≤ 90°, in order of rising 2θ:
2θ 17.49, I = 46; 2θ 23.45, I = 30; 2θ 23.57, I = 61; 2θ 26.84, I = 17; 2θ 40.24, I = 100; 2θ 40.54, I = 49; 2θ 41.29, I = 70; 2θ 41.51, I = 40; 2θ 58.99, I = 32; 2θ 74.46, I = 16

---

Theoretical PXRD pattern
Compound: V8Ga3
Radiation: Cu Kα, 1.54184 Å
Structure: the GGA-PBE geometry in Alexandria
Lines closer than 0.1° are merged.

Cell and atoms:
```
V8Ga3
1.0
4.547 -1.609 0.000
4.547 1.609 0.000
-2.621 0.000 10.360
V Ga
8 3
direct
0.053 0.053 0.321
0.138 0.138 0.951
0.235 0.235 0.596
0.339 0.339 0.232
0.661 0.661 0.768
0.765 0.765 0.404
0.862 0.862 0.049
0.947 0.947 0.679
0.396 0.396 0.859
0.500 0.500 0.500
0.604 0.604 0.141
```

Most intense lines, 10° ≤ 2θ ≤ 90°, in order of rising 2θ:
2θ 41.31, I = 100; 2θ 42.13, I = 93; 2θ 43.46, I = 44; 2θ 44.05, I = 38; 2θ 57.25, I = 18; 2θ 62.38, I = 13; 2θ 74.52, I = 16; 2θ 74.94, I = 14; 2θ 77.74, I = 14; 2θ 79.41, I = 12

---

Theoretical PXRD pattern
Compound: KIrCl2
Radiation: Cu Kα, 1.54184 Å
Structure: the GGA-PBE geometry in Alexandria
Lines closer than 0.1° are merged.

Cell and atoms:
```
KIrCl2
1.0
-1.807 2.957 4.791
1.807 -2.957 4.791
1.807 2.957 -4.791
K Ir Cl
1 1 2
direct
0.000 0.000 0.000
0.500 0.500 0.000
0.342 0.842 0.500
0.658 0.158 0.500
```

Most intense lines, 10° ≤ 2θ ≤ 90°, in order of rising 2θ:
2θ 17.62, I = 100; 2θ 18.52, I = 50; 2θ 28.95, I = 21; 2θ 30.22, I = 35; 2θ 34.59, I = 72; 2θ 35.68, I = 20; 2θ 37.57, I = 28; 2θ 48.10, I = 32; 2θ 48.95, I = 26; 2θ 56.53, I = 17

---

Theoretical PXRD pattern
Compound: Mg3AgPd2
Radiation: Cu Kα, 1.54184 Å
Structure: the GGA-PBE geometry in Alexandria
Lines closer than 0.1° are merged.

Cell and atoms:
```
Mg3AgPd2
1.0
2.313 -6.940 0.000
2.313 6.940 0.000
0.000 0.000 3.160
Mg Ag Pd
3 1 2
direct
0.000 0.000 0.000
0.325 0.675 0.000
0.675 0.325 0.000
0.500 0.500 0.500
0.162 0.838 0.500
0.838 0.162 0.500
```

Most intense lines, 10° ≤ 2θ ≤ 90°, in order of rising 2θ:
2θ 27.26, I = 53; 2θ 28.24, I = 24; 2θ 38.94, I = 52; 2θ 39.66, I = 100; 2θ 48.79, I = 21; 2θ 56.24, I = 17; 2θ 63.60, I = 9; 2θ 71.00, I = 33; 2θ 72.45, I = 16; 2θ 85.45, I = 10

---

Theoretical PXRD pattern
Compound: Rb2LaHoO4
Radiation: Cu Kα, 1.54184 Å
Structure: the GGA-PBE geometry in Alexandria
Lines closer than 0.1° are merged.

Cell and atoms:
```
Rb2LaHoO4
1.0
6.277 0.000 0.000
0.000 3.621 0.000
-2.090 0.000 6.578
Rb La Ho O
2 1 1 4
direct
0.000 0.000 0.000
0.500 0.500 0.000
0.000 0.500 0.500
0.500 0.000 0.500
0.241 0.000 0.678
0.286 0.500 0.323
0.714 0.500 0.677
0.759 0.000 0.322
```

Most intense lines, 10° ≤ 2θ ≤ 90°, in order of rising 2θ:
2θ 13.46, I = 27; 2θ 27.11, I = 40; 2θ 29.88, I = 83; 2θ 33.86, I = 100; 2θ 46.85, I = 35; 2θ 50.37, I = 22; 2θ 54.97, I = 20; 2θ 58.14, I = 29; 2θ 78.57, I = 13; 2θ 83.92, I = 14

---

Theoretical PXRD pattern
Compound: Pr3Bi
Radiation: Cu Kα, 1.54184 Å
Structure: the GGA-PBE geometry in Alexandria
Lines closer than 0.1° are merged.

Cell and atoms:
```
Pr3Bi
1.0
-2.061 5.639 2.875
2.061 -5.639 2.875
2.061 5.639 -2.875
Pr Bi
3 1
direct
0.000 0.000 0.000
0.393 0.617 0.776
0.840 0.617 0.224
0.465 0.965 0.500
```

Most intense lines, 10° ≤ 2θ ≤ 90°, in order of rising 2θ:
2θ 26.60, I = 15; 2θ 31.05, I = 100; 2θ 31.74, I = 22; 2θ 35.03, I = 22; 2θ 43.92, I = 11; 2θ 52.66, I = 11; 2θ 56.11, I = 12; 2θ 57.38, I = 11; 2θ 62.80, I = 11; 2θ 72.72, I = 10

---

Theoretical PXRD pattern
Compound: DyAgSeS
Radiation: Cu Kα, 1.54184 Å
Structure: the GGA-PBE geometry in Alexandria
Lines closer than 0.1° are merged.

Cell and atoms:
```
DyAgSeS
1.0
2.212 1.277 11.104
-2.212 1.277 11.104
0.000 -2.554 11.104
Dy Ag Se S
2 2 2 2
direct
0.112 0.112 0.112
0.888 0.888 0.888
0.309 0.309 0.309
0.691 0.691 0.691
0.392 0.392 0.392
0.608 0.608 0.608
0.197 0.197 0.197
0.803 0.803 0.803
```

Most intense lines, 10° ≤ 2θ ≤ 90°, in order of rising 2θ:
2θ 25.59, I = 99; 2θ 26.84, I = 44; 2θ 35.72, I = 96; 2θ 40.80, I = 100; 2θ 44.84, I = 38; 2θ 48.78, I = 17; 2θ 52.93, I = 18; 2θ 55.32, I = 26; 2θ 70.97, I = 25; 2θ 74.27, I = 17

---

Theoretical PXRD pattern
Compound: FeCu4Au5
Radiation: Cu Kα, 1.54184 Å
Structure: the GGA-PBE geometry in Alexandria
Lines closer than 0.1° are merged.

Cell and atoms:
```
FeCu4Au5
1.0
2.974 0.000 0.000
0.000 2.974 0.000
0.000 0.000 17.110
Fe Cu Au
1 4 5
direct
0.000 0.000 0.000
0.000 0.000 0.202
0.000 0.000 0.401
0.000 0.000 0.599
0.000 0.000 0.798
0.500 0.500 0.102
0.500 0.500 0.302
0.500 0.500 0.500
0.500 0.500 0.698
0.500 0.500 0.898
```

Most intense lines, 10° ≤ 2θ ≤ 90°, in order of rising 2θ:
2θ 26.04, I = 18; 2θ 30.05, I = 26; 2θ 40.18, I = 100; 2θ 43.02, I = 41; 2θ 50.97, I = 13; 2θ 53.56, I = 11; 2θ 62.46, I = 13; 2θ 71.03, I = 18; 2θ 76.91, I = 30; 2θ 86.77, I = 11